# 1
Simulated powder diffractogram of Tb4Nd2Dy3 for CuKα, from the PBE geometry in Alexandria.
Peak positions follow from Bragg's law for the DFT cell and can differ from measured ones.

Largest 12 diffraction maxima, by intensity, 2θ = 15–90°:
2.912 Å, 2θ = 30.7°, I 100.0
2.825 Å, 2θ = 31.7°, I 93.5
2.969 Å, 2θ = 30.1°, I 58.4
2.409 Å, 2θ = 37.3°, I 30.6
2.378 Å, 2θ = 37.8°, I 26.3
1.651 Å, 2θ = 55.7°, I 19.9
1.824 Å, 2θ = 50.0°, I 12.9
1.591 Å, 2θ = 58.0°, I 11.7
1.784 Å, 2θ = 51.2°, I 11.6
1.842 Å, 2θ = 49.5°, I 11.1
1.665 Å, 2θ = 55.2°, I 10.8
3.157 Å, 2θ = 28.3°, I 10.8

Cell and atoms:
```
data_Tb4Nd2Dy3
_chemical_formula_sum 'Tb8 Nd4 Dy6'
_cell_length_a 10.0357
_cell_length_b 10.0357
_cell_length_c 6.1615
_cell_angle_alpha 94.99
_cell_angle_beta 94.99
_cell_angle_gamma 71.00
_space_group_name_H-M_alt 'P 1'
_space_group_IT_number 1
loop_
_space_group_symop_operation_xyz
'x,y,z'
loop_
_atom_site_label
_atom_site_fract_x
_atom_site_fract_y
_atom_site_fract_z
Tb1 0.0936 0.8131 0.9848
Tb2 0.1455 0.4232 0.1516
Tb3 0.1869 0.9064 0.5152
Tb4 0.4232 0.1455 0.6516
Tb5 0.5768 0.8545 0.3484
Tb6 0.8131 0.0936 0.4848
Tb7 0.8545 0.5768 0.8484
Tb8 0.9064 0.1869 0.0152
Nd1 0.2346 0.5215 0.6781
Nd2 0.4785 0.7654 0.8219
Nd3 0.5215 0.2346 0.1781
Nd4 0.7654 0.4785 0.3219
Dy1 0.0671 0.2629 0.5934
Dy2 0.2629 0.0671 0.0934
Dy3 0.4018 0.5982 0.2500
Dy4 0.5982 0.4018 0.7500
Dy5 0.7371 0.9329 0.9066
Dy6 0.9329 0.7371 0.4066
```

***

# 2
Simulated powder diffractogram of K2AsSF5 for CuKα, from the PBE geometry in Alexandria.
Peak positions follow from Bragg's law for the DFT cell and can differ from measured ones.

Largest 12 diffraction maxima, by intensity, 2θ = 15–90°:
5.188 Å, 2θ = 17.1°, I 100.0
2.240 Å, 2θ = 40.3°, I 31.7
3.181 Å, 2θ = 28.0°, I 31.2
3.168 Å, 2θ = 28.2°, I 25.8
2.594 Å, 2θ = 34.6°, I 18.1
2.704 Å, 2θ = 33.1°, I 15.1
1.591 Å, 2θ = 58.0°, I 14.0
2.259 Å, 2θ = 39.9°, I 13.8
1.725 Å, 2θ = 53.1°, I 13.4
1.839 Å, 2θ = 49.6°, I 11.6
1.417 Å, 2θ = 65.9°, I 10.3
2.720 Å, 2θ = 32.9°, I 10.3

Cell and atoms:
```
data_K2AsSF5
_chemical_formula_sum 'K2 As1 S1 F5'
_cell_length_a 6.3627
_cell_length_b 6.3627
_cell_length_c 6.3627
_cell_angle_alpha 120.27
_cell_angle_beta 120.27
_cell_angle_gamma 89.53
_space_group_name_H-M_alt 'P 1'
_space_group_IT_number 1
loop_
_space_group_symop_operation_xyz
'x,y,z'
loop_
_atom_site_label
_atom_site_fract_x
_atom_site_fract_y
_atom_site_fract_z
K1 0.0000 0.5000 0.5000
K2 0.5000 0.0000 0.5000
As1 0.2239 0.2239 0.0000
S1 0.4615 0.4615 0.0000
F1 0.0204 0.0204 0.0000
F2 0.4050 0.4050 0.4100
F3 0.4050 0.9950 0.0000
F4 0.9950 0.4050 0.0000
F5 0.9950 0.9950 0.5900
```